# RbTbDy4Se8
Computed powder diffractogram, Cu Kα (weighted mean of Kα1 and Kα2). Input: the GGA-PBE geometry in Alexandria.
No peak broadening, texture or thermal motion is included.

Atomic structure:
```
data_RbTbDy4Se8
_symmetry_space_group_name_H-M 'R 3 m'
_symmetry_Int_Tables_number 160
_symmetry_space_group_name_Hall 'R 3 -2"'
_cell_length_a 8.6334
_cell_length_b 8.6334
_cell_length_c 21.2398
_cell_angle_alpha 90.00
_cell_angle_beta 90.00
_cell_angle_gamma 120.00
loop_
_atom_site_label
_atom_site_type_symbol
_atom_site_fract_x
_atom_site_fract_y
_atom_site_fract_z
Rb1 Rb 0.0000 0.0000 0.0000
Tb1 Tb 0.0000 0.0000 0.6311
Dy1 Dy 0.0000 0.0000 0.2513
Dy2 Dy 0.1729 0.3458 0.4578
Se1 Se 0.0000 0.0000 0.3834
Se2 Se 0.0000 0.0000 0.8579
Se3 Se 0.0465 0.5233 0.3826
Se4 Se 0.1761 0.3523 0.2069
```

Largest 12 diffraction maxima, in order of falling intensity, 10 to 80 degrees two-theta:
2theta  I/Imax
24.1  100
29.2  70
41.7  57
41.9  57
38.3  49
12.5  34
20.5  25
76.4  24
38.2  17
60.6  17
51.9  12
48.9  12